PrAs2Au: computed PXRD pattern (CuKα), based on a DFT-relaxed cell (PBE, the Materials Project).
Neutral-atom scattering factors, no anomalous dispersion.

Atomic structure:
abc: 5.902 20.839 5.848
angles: 90.00 90.00 90.00
Space group Pbcm (No. 57)
Asymmetric unit:
Pr: 0.014 0.116 0.250 [4 per cell]
Pr: 0.484 0.620 0.750 [4 per cell]
As: 0.015 0.159 0.750 [4 per cell]
As: 0.277 0.001 0.529 [8 per cell]
As: 0.486 0.660 0.250 [4 per cell]
Au: 0.231 0.750 0.000 [4 per cell]
Au: 0.266 0.250 0.000 [4 per cell]

Principal peaks in the range 10° ≤ 2θ ≤ 90°, most intense first:
| d (Å) | I (rel.) | (hkl) |
| --- | --- | --- |
| 2.550 | 1000 | 0 4 2 |
| 2.568 | 987 | 2 4 0 |
| 2.077 | 594 | 2 0 2 |
| 2.605 | 392 | 0 8 0 |
| 1.624 | 348 | 2 8 2 |
| 1.270 | 213 | 2 4 4 |
| 1.277 | 184 | 4 4 2 |
| 2.665 | 145 | 1 6 1 |
| 3.859 | 138 | 1 2 1 |
| 3.248 | 124 | 1 4 1 |